[1]
For CsK12Rb7, a structure optimized by DFT (PBE) gives the theoretical powder X-ray diffraction pattern in this record (Cu Kα X-rays).
Peak positions follow from Bragg's law for the DFT cell and can differ from measured ones.

Principal peaks in the range 10° ≤ 2θ ≤ 90°, sorted by position:
21.48°, rel. 34, (1 1 3)
22.30°, rel. 23, (4 -1 2)
22.93°, rel. 100, (1 4 0)
23.95°, rel. 16, (0 4 2)
24.77°, rel. 30, (3 0 3)
26.27°, rel. 15, (2 2 3)
30.37°, rel. 16, (5 -4 3)
40.28°, rel. 16, (6 3 0)

Crystal structure
a b c (Å): 20.5205 20.5205 13.5632
angles (deg): 90.00 90.00 120.00
Space group R-3 (No. 148, hexagonal axes)
One atom of each set of equivalent atoms:
Cs (0.0000, 0.0000, 0.0000) [3 per cell]
K (0.0439, 0.2380, 0.5743) [18 per cell]
K (0.0579, 0.2124, 0.2545) [18 per cell]
Rb (0.0000, 0.0000, 0.5000) [3 per cell]
Rb (0.0586, 0.2592, 0.9251) [18 per cell]


[2]
For Cd5Ag4, a structure optimized by DFT (PBE) gives the theoretical powder X-ray diffraction pattern in this record (Cu Kα X-rays).
Peak positions follow from Bragg's law for the DFT cell and can differ from measured ones.

Principal peaks in the range 10° ≤ 2θ ≤ 90°, sorted by position:
36.19°, rel. 100, (2 0 1)
36.75°, rel. 32, (4 0 -1)
41.98°, rel. 43, (3 3 0)
42.64°, rel. 21, (2 0 -2)
60.97°, rel. 14, (1 3 2)
61.79°, rel. 13, (5 3 -2)
72.60°, rel. 8, (2 6 1)
72.84°, rel. 8, (5 3 1)

Crystal structure
a b c (Å): 9.9658 9.1741 4.2416
angles (deg): 90.00 114.22 90.00
Space group C2/m (No. 12)
One atom of each set of equivalent atoms:
Cd (0.0000, 0.0000, 0.0000) [2 per cell]
Cd (0.0000, 0.3276, 0.0000) [4 per cell]
Cd (0.1720, 0.5000, 0.6719) [4 per cell]
Ag (0.1668, 0.1662, 0.6668) [8 per cell]


[3]
For Sm2Ho5Tm2, a structure optimized by DFT (PBE) gives the theoretical powder X-ray diffraction pattern in this record (Cu Kα X-rays).
Peak positions follow from Bragg's law for the DFT cell and can differ from measured ones.

Principal peaks in the range 10° ≤ 2θ ≤ 90°, sorted by position:
28.58°, rel. 87, (4 1 1)
30.54°, rel. 100, (0 4 0)
30.82°, rel. 78, (0 2 2)
31.12°, rel. 58, (5 1 0)
33.16°, rel. 63, (2 2 2)
33.27°, rel. 47, (3 1 2)
36.02°, rel. 55, (4 3 1)
38.12°, rel. 39, (5 3 0)

Crystal structure
a b c (Å): 14.8220 11.7090 6.6792
angles (deg): 90.00 90.00 90.00
Space group Ima2 (No. 46)
One atom of each set of equivalent atoms:
Sm (0.0000, 0.0000, 0.0000) [4 per cell]
Sm (0.2500, 0.0107, 0.9038) [4 per cell]
Ho (0.0524, 0.7450, 0.3051) [8 per cell]
Ho (0.1426, 0.2363, 0.1173) [8 per cell]
Ho (0.2500, 0.7487, 0.1117) [4 per cell]
Tm (0.1269, 0.5040, 0.9538) [8 per cell]


[4]
For ZnSi2As, a structure optimized by DFT (PBE) gives the theoretical powder X-ray diffraction pattern in this record (Cu Kα X-rays).
Peak positions follow from Bragg's law for the DFT cell and can differ from measured ones.

Principal peaks in the range 10° ≤ 2θ ≤ 90°, sorted by position:
16.87°, rel. 69, (2 0 0)
34.12°, rel. 68, (4 0 0)
38.04°, rel. 100, (1 1 -1)
39.21°, rel. 46, (2 0 -2)
41.88°, rel. 31, (1 1 1)
52.02°, rel. 79, (3 1 1)
52.94°, rel. 37, (2 0 2)
84.31°, rel. 24, (7 1 1)

Crystal structure
a b c (Å): 11.4649 2.7588 4.5951
angles (deg): 90.00 113.53 90.00
Space group C2/m (No. 12)
One atom of each set of equivalent atoms:
Zn (0.0000, 0.0000, 0.0000) [2 per cell]
Si (0.2497, 0.0000, 0.2480) [4 per cell]
As (0.0000, 0.5000, 0.5000) [2 per cell]


[5]
For Ac2BiRuO8, a structure optimized by DFT (PBE) gives the theoretical powder X-ray diffraction pattern in this record (Cu Kα X-rays).
Peak positions follow from Bragg's law for the DFT cell and can differ from measured ones.

Principal peaks in the range 10° ≤ 2θ ≤ 90°, sorted by position:
23.83°, rel. 100, (1 -1 0)
24.67°, rel. 62, (1 1 0)
30.15°, rel. 47, (0 1 -2)
30.34°, rel. 84, (1 0 -2)
30.85°, rel. 36, (1 0 2)
33.86°, rel. 22, (0 2 0)
45.76°, rel. 19, (-1 2 2)
45.88°, rel. 19, (1 -2 2)

Crystal structure
a b c (Å): 5.0950 5.2972 7.1310
angles (deg): 90.27 90.90 91.93
Space group P-1 (No. 2)
One atom of each set of equivalent atoms:
Ac (0.0661, 0.0487, 0.2586) [2 per cell]
Bi (0.5000, 0.5000, 0.0000) [1 per cell]
Ru (0.5000, 0.5000, 0.5000) [1 per cell]
O (0.1904, 0.2040, 0.9623) [2 per cell]
O (0.2286, 0.2674, 0.5456) [2 per cell]
O (0.3006, 0.6407, 0.2839) [2 per cell]
O (0.3740, 0.7208, 0.7103) [2 per cell]